KBaLaMnO6: computed XRD peak list (Cu Kα), based on a DFT-relaxed cell (GGA+U, Alexandria).
No peak broadening, texture or thermal motion is included.

Peak list (6 most intense, 2θ = 10–80°, most intense first)
| d (Å) | 2theta | I (rel.) | index |
| --- | --- | --- | --- |
| 3.027 | 29.51 | 100 | 2 2 0 |
| 1.747 | 52.36 | 38 | 4 2 2 |
| 2.140 | 42.23 | 34 | 4 0 0 |
| 4.942 | 17.95 | 23 | 1 1 1 |
| 1.513 | 61.25 | 20 | 4 4 0 |
| 1.354 | 69.44 | 18 | 6 2 0 |

Atomic structure:
Cell lengths 8.561, 8.561, 8.561 Å; angles 90.00, 90.00, 90.00 degrees
Space group F-43m (No. 216)
One atom of each set of equivalent atoms:
K  0.000  0.000  0.000 x4
Ba  0.000  0.000  0.500 x4
La  0.250  0.250  0.250 x4
Mn  0.250  0.250  0.750 x4
O  0.026  0.250  0.750 x24